(1)
The following is a computed X-ray powder pattern of NdTl2Hg2Se4. It was derived from a crystal structure in Alexandria, relaxed with PBE, using a wavelength of 1.5418 Å.
No peak broadening, texture or thermal motion is included.

Crystal structure
```
9
Lattice="8.2227 -2.1409 0.0000 8.2227 2.1409 0.0000 -3.4681 0.0000 7.5951" Properties=species:S:1:pos:R:3 pbc="T T T"
Nd 0.0000 0.0000 0.0000
Tl 0.0873 0.0000 4.1876
Tl 12.8900 0.0000 3.4075
Hg 1.6921 0.0000 7.3576
Hg 11.2852 0.0000 0.2376
Se 2.3664 0.0000 1.8881
Se 7.0666 0.0000 1.7392
Se 5.9107 0.0000 5.8559
Se 10.6109 0.0000 5.7070
```

Peak list (10 most intense, 10 to 90 degrees two-theta, most intense first)
- 2θ = 32.80°, rel. 100.0
- 2θ = 31.01°, rel. 89.1
- 2θ = 26.77°, rel. 81.5
- 2θ = 30.72°, rel. 59.4
- 2θ = 23.41°, rel. 56.3
- 2θ = 42.21°, rel. 47.6
- 2θ = 38.74°, rel. 45.2
- 2θ = 39.60°, rel. 33.3
- 2θ = 36.21°, rel. 32.2
- 2θ = 53.11°, rel. 25.7

(2)
The following is a computed X-ray powder pattern of ThReW. It was derived from a crystal structure in Alexandria, relaxed with PBE, using a wavelength of 1.5418 Å.
No peak broadening, texture or thermal motion is included.

Crystal structure
```
12
Lattice="0.0000 4.6838 9.7616 2.6811 0.0000 9.7616 2.6811 4.6838 0.0000" Properties=species:S:1:pos:R:3 pbc="T T T"
Th 2.0108 0.4508 7.3212
Th 3.3514 2.7927 12.2020
Th 2.0108 6.5749 7.3212
Th 3.3514 8.9167 12.2020
Re 2.0108 3.5128 6.0578
Re 2.0108 3.5128 8.5846
Re 3.3514 5.8547 10.9386
Re 3.3514 5.8547 13.4654
W 2.0108 3.5128 0.0136
W 3.3514 5.8547 4.8944
W 2.0108 3.5128 14.6288
W 3.3514 5.8547 19.5096
```

Peak list (10 most intense, 10 to 90 degrees two-theta, most intense first)
- 2θ = 36.03°, rel. 100.0
- 2θ = 33.53°, rel. 97.1
- 2θ = 37.60°, rel. 87.8
- 2θ = 34.70°, rel. 77.9
- 2θ = 43.07°, rel. 72.3
- 2θ = 46.17°, rel. 43.7
- 2θ = 69.70°, rel. 29.6
- 2θ = 40.64°, rel. 29.5
- 2θ = 38.70°, rel. 27.1
- 2θ = 42.83°, rel. 26.5

(3)
The following is a computed X-ray powder pattern of ThBr4. It was derived from a crystal structure in Alexandria, relaxed with PBE, using a wavelength of 1.5418 Å.
No peak broadening, texture or thermal motion is included.

Crystal structure
```
10
Lattice="6.6010 0.0000 0.0000 0.0000 6.6010 0.0000 0.0000 0.0000 7.1994" Properties=species:S:1:pos:R:3 pbc="T T T"
Th 0.0000 0.0000 0.0000
Th 3.3005 3.3005 3.5997
Br 1.2460 1.6876 2.4895
Br 1.6129 2.0545 6.0892
Br 1.6876 5.3550 4.7099
Br 2.0545 4.9881 1.1102
Br 4.5465 1.6129 1.1102
Br 4.9134 1.2460 4.7099
Br 4.9881 4.5465 6.0892
Br 5.3550 4.9134 2.4895
```

Peak list (10 most intense, 10 to 90 degrees two-theta, most intense first)
- 2θ = 18.23°, rel. 100.0
- 2θ = 31.38°, rel. 98.8
- 2θ = 32.79°, rel. 96.9
- 2θ = 19.01°, rel. 59.9
- 2θ = 36.95°, rel. 51.0
- 2θ = 38.58°, rel. 45.1
- 2θ = 50.54°, rel. 35.3
- 2θ = 39.97°, rel. 30.1
- 2θ = 42.98°, rel. 28.4
- 2θ = 63.96°, rel. 25.2

(4)
The following is a computed X-ray powder pattern of Sc3BeNi3. It was derived from a crystal structure in Alexandria, relaxed with PBE, using a wavelength of 1.5418 Å.
No peak broadening, texture or thermal motion is included.

Crystal structure
```
14
Lattice="4.6845 -1.7481 0.0000 4.6845 1.7481 0.0000 -4.0705 0.0000 13.1846" Properties=species:S:1:pos:R:3 pbc="T T T"
Sc -1.4186 0.0000 5.1057
Sc -2.7584 0.0000 12.1570
Sc 1.2953 0.0000 3.0526
Sc 4.0033 0.0000 10.1320
Sc 8.0570 0.0000 1.0276
Sc 6.7172 0.0000 8.0789
Be 0.0576 0.0000 8.0533
Be 5.2410 0.0000 5.1313
Ni 1.2846 0.0000 6.1391
Ni -0.1089 0.0000 12.1643
Ni 1.2790 0.0000 10.0492
Ni 4.0196 0.0000 3.1354
Ni 5.4075 0.0000 1.0203
Ni 4.0140 0.0000 7.0455
```

Peak list (10 most intense, 10 to 90 degrees two-theta, most intense first)
- 2θ = 36.65°, rel. 100.0
- 2θ = 38.72°, rel. 61.2
- 2θ = 45.07°, rel. 60.9
- 2θ = 38.46°, rel. 38.1
- 2θ = 52.33°, rel. 32.8
- 2θ = 44.72°, rel. 31.8
- 2θ = 36.04°, rel. 30.1
- 2θ = 42.99°, rel. 29.6
- 2θ = 41.08°, rel. 26.3
- 2θ = 31.93°, rel. 24.6

(5)
The following is a computed X-ray powder pattern of Rb2BaBiBr8. It was derived from a crystal structure in Alexandria, relaxed with PBE, using a wavelength of 1.5418 Å.
No peak broadening, texture or thermal motion is included.

Crystal structure
```
12
Lattice="6.5204 0.0000 0.0000 1.3197 7.8318 0.0000 0.0051 0.0558 9.7756" Properties=species:S:1:pos:R:3 pbc="T T T"
Rb 0.0140 0.0372 2.3658
Rb 7.8312 7.8504 7.4098
Ba 3.9226 3.9438 4.8878
Bi 3.9200 3.9159 0.0000
Br 1.1133 5.6051 4.8811
Br 1.3979 5.3122 0.0360
Br 3.2787 2.1027 7.6346
Br 3.2894 2.0670 2.1620
Br 4.5557 5.8205 7.6136
Br 4.5665 5.7848 2.1410
Br 6.4473 2.5754 9.7396
Br 6.7319 2.2825 4.8945
```

Peak list (10 most intense, 10 to 90 degrees two-theta, most intense first)
- 2θ = 27.75°, rel. 100.0
- 2θ = 30.64°, rel. 92.5
- 2θ = 30.80°, rel. 90.2
- 2θ = 11.30°, rel. 66.4
- 2θ = 36.78°, rel. 65.7
- 2θ = 21.49°, rel. 65.0
- 2θ = 21.37°, rel. 62.3
- 2θ = 16.32°, rel. 60.4
- 2θ = 34.00°, rel. 49.9
- 2θ = 34.15°, rel. 48.5

(6)
The following is a computed X-ray powder pattern of Ga2HgI4. It was derived from a crystal structure in Alexandria, relaxed with PBE, using a wavelength of 1.5418 Å.
No peak broadening, texture or thermal motion is included.

Crystal structure
```
28
Lattice="15.6167 0.0000 0.0000 0.0000 9.6299 0.0000 0.0000 0.0000 7.9236" Properties=species:S:1:pos:R:3 pbc="T T T"
Ga 0.0000 0.0000 0.0000
Ga 0.0000 4.8149 0.0000
Ga 0.3532 2.4075 3.9373
Ga 7.4552 7.2224 7.8990
Ga 7.8084 0.0000 3.9618
Ga 7.8084 4.8149 3.9618
Ga 8.1616 2.4075 0.0245
Ga 15.2635 7.2224 3.9863
Hg 3.1977 7.2224 3.9901
Hg 4.6107 2.4075 0.0283
Hg 11.0060 7.2224 7.8952
Hg 12.4191 2.4075 3.9335
I 1.8422 4.9518 5.2867
I 1.8422 9.4929 5.2867
I 1.8923 7.2224 1.4609
I 1.9916 2.4075 1.0423
I 5.8167 7.2224 5.0041
I 5.9160 2.4075 5.4227
I 5.9662 0.1369 1.3249
I 5.9662 4.6780 1.3249
I 9.6506 4.9518 6.5987
I 9.6506 9.4929 6.5987
I 9.7007 7.2224 2.5009
I 9.8000 2.4075 2.9194
I 13.6251 7.2224 6.8812
I 13.7244 2.4075 6.4626
I 13.7745 0.1369 2.6369
I 13.7745 4.6780 2.6369
```

Peak list (10 most intense, 10 to 90 degrees two-theta, most intense first)
- 2θ = 24.45°, rel. 100.0
- 2θ = 15.55°, rel. 72.8
- 2θ = 36.10°, rel. 56.9
- 2θ = 39.34°, rel. 51.2
- 2θ = 37.35°, rel. 32.8
- 2θ = 23.16°, rel. 30.9
- 2θ = 32.19°, rel. 28.1
- 2θ = 41.03°, rel. 24.6
- 2θ = 28.31°, rel. 19.9
- 2θ = 50.12°, rel. 15.6

(7)
The following is a computed X-ray powder pattern of TaNi3. It was derived from a crystal structure in Alexandria, relaxed with PBE, using a wavelength of 1.5418 Å.
No peak broadening, texture or thermal motion is included.

Crystal structure
```
8
Lattice="4.6583 0.0000 0.0000 0.0000 4.6583 0.0000 0.0000 0.0000 4.6583" Properties=species:S:1:pos:R:3 pbc="T T T"
Ta 0.0000 0.0000 0.0000
Ta 2.3291 2.3291 2.3291
Ni 0.0000 1.1646 2.3291
Ni 0.0000 3.4937 2.3291
Ni 1.1646 2.3291 0.0000
Ni 2.3291 0.0000 1.1646
Ni 2.3291 0.0000 3.4937
Ni 3.4937 2.3291 0.0000
```

Peak list (10 most intense, 10 to 90 degrees two-theta, most intense first)
- 2θ = 47.83°, rel. 100.0
- 2θ = 27.07°, rel. 49.6
- 2θ = 76.52°, rel. 48.9
- 2θ = 38.66°, rel. 46.1
- 2θ = 43.44°, rel. 37.3
- 2θ = 82.90°, rel. 11.2
- 2θ = 63.11°, rel. 10.3
- 2θ = 55.82°, rel. 7.3
- 2θ = 73.27°, rel. 7.0
- 2θ = 89.20°, rel. 6.7

(8)
The following is a computed X-ray powder pattern of ZnCBr2. It was derived from a crystal structure in Alexandria, relaxed with PBE, using a wavelength of 1.5418 Å.
No peak broadening, texture or thermal motion is included.

Crystal structure
```
8
Lattice="0.0000 4.9641 4.9641 4.9641 0.0000 4.9641 4.9641 4.9641 0.0000" Properties=species:S:1:pos:R:3 pbc="T T T"
Zn 1.2410 1.2410 1.2410
Zn 8.6872 8.6872 8.6872
C 3.7231 3.7231 3.7231
C 6.2052 6.2052 6.2052
Br 4.9641 2.4821 2.4821
Br 2.4821 4.9641 2.4821
Br 2.4821 2.4821 4.9641
Br 4.9641 4.9641 4.9641
```

Peak list (10 most intense, 10 to 90 degrees two-theta, most intense first)
- 2θ = 29.85°, rel. 100.0
- 2θ = 31.21°, rel. 51.3
- 2θ = 52.11°, rel. 38.7
- 2θ = 47.59°, rel. 36.3
- 2θ = 25.37°, rel. 34.0
- 2θ = 73.23°, rel. 22.1
- 2θ = 62.00°, rel. 20.5
- 2θ = 15.46°, rel. 18.5
- 2θ = 44.72°, rel. 13.6
- 2θ = 61.22°, rel. 12.6